# Th5Bi6
Calculated powder diffraction line list, λ = 1.5418 Å (Cu Kα). Input: a GGA-PBE-relaxed structure.
Lines closer than 0.1° are merged.

Principal peaks in the range 10° ≤ 2θ ≤ 90°, sorted by position:
| 2θ/deg | intensity |
| --- | --- |
| 27.66 | 1000 |
| 39.52 | 782 |
| 48.92 | 283 |
| 57.17 | 88 |
| 64.58 | 186 |
| 64.68 | 180 |
| 71.65 | 136 |
| 71.73 | 132 |

Structure:
```
data_Th5Bi6
_space_group_name_H-M_alt 'C 1 2/m 1'
_space_group_IT_number 12
_cell_length_a 7.900
_cell_length_b 13.669
_cell_length_c 7.909
_cell_angle_alpha 90.00
_cell_angle_beta 109.57
_cell_angle_gamma 90.00
loop_
_space_group_symop_operation_xyz
'x,y,z'
'-x,-y,-z'
'-x,y,-z'
'x,-y,z'
'x+1/2,y+1/2,z'
'-x+1/2,-y+1/2,-z'
'-x+1/2,y+1/2,-z'
'x+1/2,-y+1/2,z'
loop_
_atom_site_label
_atom_site_type_symbol
_atom_site_fract_x
_atom_site_fract_y
_atom_site_fract_z
Th1 Th 0.000 0.000 0.000
Th2 Th 0.000 0.165 0.500
Th3 Th 0.000 0.330 0.000
Bi1 Bi 0.238 0.341 0.738
Bi2 Bi 0.238 0.500 0.255
```

---

# Sc3Zn4
Calculated powder diffraction line list, λ = 1.5418 Å (Cu Kα). Input: a GGA-PBE-relaxed structure.
Lines closer than 0.1° are merged.

Principal peaks in the range 10° ≤ 2θ ≤ 90°, sorted by position:
| 2θ/deg | intensity |
| --- | --- |
| 27.11 | 321 |
| 38.62 | 1000 |
| 38.81 | 951 |
| 55.91 | 307 |
| 69.89 | 154 |
| 70.01 | 296 |
| 70.38 | 130 |
| 82.81 | 94 |

Structure:
```
data_Sc3Zn4
_space_group_name_H-M_alt 'R -3 m'
_space_group_IT_number 166
_space_group_name_Hall '-R 3 2"'
_cell_length_a 4.6626
_cell_length_b 4.6626
_cell_length_c 22.6836
_cell_angle_alpha 90.00
_cell_angle_beta 90.00
_cell_angle_gamma 120.00
loop_
_atom_site_label
_atom_site_type_symbol
_atom_site_fract_x
_atom_site_fract_y
_atom_site_fract_z
Sc1 Sc 0.0000 0.0000 0.0000
Sc2 Sc 0.0000 0.0000 0.2486
Zn1 Zn 0.0000 0.0000 0.1247
Zn2 Zn 0.0000 0.0000 0.3814
```

---

# LiPaF5
Calculated powder diffraction line list, λ = 1.5418 Å (Cu Kα). Input: a GGA-PBE-relaxed structure.
Lines closer than 0.1° are merged.

Principal peaks in the range 10° ≤ 2θ ≤ 90°, sorted by position:
| 2θ/deg | intensity |
| --- | --- |
| 16.88 | 1000 |
| 20.86 | 402 |
| 23.77 | 226 |
| 27.62 | 245 |
| 30.89 | 187 |
| 34.75 | 172 |
| 38.48 | 201 |
| 49.83 | 138 |

Structure:
```
data_LiPaF5
_space_group_name_H-M_alt 'C 1 2/c 1'
_space_group_IT_number 15
_cell_length_a 10.416
_cell_length_b 6.671
_cell_length_c 7.621
_cell_angle_alpha 90.00
_cell_angle_beta 125.17
_cell_angle_gamma 90.00
loop_
_space_group_symop_operation_xyz
'x,y,z'
'-x,-y,-z'
'-x,y,-z+1/2'
'x,-y,z+1/2'
'x+1/2,y+1/2,z'
'-x+1/2,-y+1/2,-z'
'-x+1/2,y+1/2,-z+1/2'
'x+1/2,-y+1/2,z+1/2'
loop_
_atom_site_label
_atom_site_type_symbol
_atom_site_fract_x
_atom_site_fract_y
_atom_site_fract_z
Li1 Li 0.000 0.000 0.000
Pa1 Pa 0.000 0.455 0.250
F1 F 0.000 0.217 0.750
F2 F 0.109 0.184 0.456
F3 F 0.151 0.446 0.125
```

---

# Sc4AlZnCu2
Calculated powder diffraction line list, λ = 1.5418 Å (Cu Kα). Input: a GGA-PBE-relaxed structure.
Lines closer than 0.1° are merged.

Principal peaks in the range 10° ≤ 2θ ≤ 90°, sorted by position:
| 2θ/deg | intensity |
| --- | --- |
| 11.53 | 24 |
| 22.18 | 29 |
| 23.18 | 22 |
| 26.83 | 23 |
| 38.30 | 1000 |
| 55.29 | 158 |
| 69.26 | 300 |
| 82.01 | 90 |

Structure:
```
data_Sc4AlZnCu2
_space_group_name_H-M_alt 'R -3 m'
_space_group_IT_number 166
_space_group_name_Hall '-R 3 2"'
_cell_length_a 4.6996
_cell_length_b 4.6996
_cell_length_c 23.0234
_cell_angle_alpha 90.00
_cell_angle_beta 90.00
_cell_angle_gamma 120.00
loop_
_atom_site_label
_atom_site_type_symbol
_atom_site_fract_x
_atom_site_fract_y
_atom_site_fract_z
Sc1 Sc 0.0000 0.0000 0.1229
Sc2 Sc 0.0000 0.0000 0.3732
Al1 Al 0.0000 0.0000 0.5000
Zn1 Zn 0.0000 0.0000 0.0000
Cu1 Cu 0.0000 0.0000 0.2461
```

---

# CeTa2H8
Calculated powder diffraction line list, λ = 1.5418 Å (Cu Kα). Input: a GGA-PBE-relaxed structure.
Lines closer than 0.1° are merged.

Principal peaks in the range 10° ≤ 2θ ≤ 90°, sorted by position:
| 2θ/deg | intensity |
| --- | --- |
| 18.16 | 384 |
| 27.14 | 602 |
| 27.60 | 561 |
| 28.07 | 521 |
| 36.11 | 1000 |
| 36.79 | 323 |
| 51.95 | 253 |
| 53.04 | 215 |

Structure:
```
data_CeTa2H8
_space_group_name_H-M_alt 'C 1 m 1'
_space_group_IT_number 8
_cell_length_a 4.978
_cell_length_b 8.619
_cell_length_c 4.889
_cell_angle_alpha 90.00
_cell_angle_beta 92.20
_cell_angle_gamma 90.00
loop_
_space_group_symop_operation_xyz
'x,y,z'
'x,-y,z'
'x+1/2,y+1/2,z'
'x+1/2,-y+1/2,z'
loop_
_atom_site_label
_atom_site_type_symbol
_atom_site_fract_x
_atom_site_fract_y
_atom_site_fract_z
Ce1 Ce 0.000 0.000 0.000
Ta1 Ta 0.056 0.334 0.526
H1 H 0.101 0.326 0.902
H2 H 0.107 0.500 0.274
H3 H 0.247 0.201 0.285
H4 H 0.348 0.000 0.669
H5 H 0.426 0.367 0.605
```

---

# Ba8Sb3I4
Calculated powder diffraction line list, λ = 1.5418 Å (Cu Kα). Input: a GGA-PBE-relaxed structure.
Lines closer than 0.1° are merged.

Principal peaks in the range 10° ≤ 2θ ≤ 90°, sorted by position:
| 2θ/deg | intensity |
| --- | --- |
| 17.62 | 175 |
| 20.17 | 175 |
| 24.24 | 1000 |
| 30.80 | 488 |
| 33.40 | 561 |
| 35.67 | 710 |
| 43.60 | 200 |
| 49.67 | 176 |

Structure:
```
data_Ba8Sb3I4
_space_group_name_H-M_alt 'R -3 m'
_space_group_IT_number 166
_space_group_name_Hall '-R 3 2"'
_cell_length_a 10.0678
_cell_length_b 10.0678
_cell_length_c 27.2274
_cell_angle_alpha 90.00
_cell_angle_beta 90.00
_cell_angle_gamma 120.00
loop_
_atom_site_label
_atom_site_type_symbol
_atom_site_fract_x
_atom_site_fract_y
_atom_site_fract_z
Ba1 Ba 0.0000 0.0000 0.2315
Ba2 Ba 0.0155 0.5078 0.7633
Sb1 Sb 0.0000 0.5000 0.5000
I1 I 0.0000 0.0000 0.0000
I2 I 0.0000 0.0000 0.3571
I3 I 0.0000 0.0000 0.5000
```

---

# Nd4Mg3Co2
Calculated powder diffraction line list, λ = 1.5418 Å (Cu Kα). Input: a GGA-PBE-relaxed structure.
Lines closer than 0.1° are merged.

Principal peaks in the range 10° ≤ 2θ ≤ 90°, sorted by position:
| 2θ/deg | intensity |
| --- | --- |
| 13.69 | 501 |
| 22.67 | 433 |
| 22.95 | 458 |
| 23.68 | 456 |
| 30.83 | 401 |
| 32.48 | 915 |
| 33.22 | 1000 |
| 38.78 | 541 |

Structure:
```
data_Nd4Mg3Co2
_space_group_name_H-M_alt 'P 1 2/m 1'
_space_group_IT_number 10
_cell_length_a 7.572
_cell_length_b 3.875
_cell_length_c 8.329
_cell_angle_alpha 90.00
_cell_angle_beta 109.63
_cell_angle_gamma 90.00
loop_
_space_group_symop_operation_xyz
'x,y,z'
'-x,-y,-z'
'-x,y,-z'
'x,-y,z'
loop_
_atom_site_label
_atom_site_type_symbol
_atom_site_fract_x
_atom_site_fract_y
_atom_site_fract_z
Nd1 Nd 0.096 0.000 0.225
Nd2 Nd 0.397 0.000 0.683
Mg1 Mg 0.000 0.500 0.500
Mg2 Mg 0.293 0.500 0.004
Co1 Co 0.353 0.500 0.396
```

---

# NiSn3Rh
Calculated powder diffraction line list, λ = 1.5418 Å (Cu Kα). Input: a GGA-PBE-relaxed structure.
Lines closer than 0.1° are merged.

Principal peaks in the range 10° ≤ 2θ ≤ 90°, sorted by position:
| 2θ/deg | intensity |
| --- | --- |
| 27.19 | 220 |
| 33.83 | 546 |
| 39.70 | 932 |
| 40.02 | 1000 |
| 43.93 | 496 |
| 55.15 | 193 |
| 70.07 | 349 |
| 76.13 | 200 |

Structure:
```
data_NiSn3Rh
_space_group_name_H-M_alt 'C 1 2/c 1'
_space_group_IT_number 15
_cell_length_a 13.120
_cell_length_b 9.993
_cell_length_c 6.291
_cell_angle_alpha 90.00
_cell_angle_beta 90.03
_cell_angle_gamma 90.00
loop_
_space_group_symop_operation_xyz
'x,y,z'
'-x,-y,-z'
'-x,y,-z+1/2'
'x,-y,z+1/2'
'x+1/2,y+1/2,z'
'-x+1/2,-y+1/2,-z'
'-x+1/2,y+1/2,-z+1/2'
'x+1/2,-y+1/2,z+1/2'
loop_
_atom_site_label
_atom_site_type_symbol
_atom_site_fract_x
_atom_site_fract_y
_atom_site_fract_z
Ni1 Ni 0.215 0.162 0.251
Sn1 Sn 0.119 0.000 0.001
Sn2 Sn 0.125 0.332 0.497
Sn3 Sn 0.126 0.332 0.003
Rh1 Rh 0.000 0.173 0.750
Rh2 Rh 0.000 0.489 0.750
```

---

# Na2BiPbCl8
Calculated powder diffraction line list, λ = 1.5418 Å (Cu Kα). Input: a GGA-PBE-relaxed structure.
Lines closer than 0.1° are merged.

Principal peaks in the range 10° ≤ 2θ ≤ 90°, sorted by position:
| 2θ/deg | intensity |
| --- | --- |
| 13.46 | 963 |
| 13.74 | 915 |
| 18.50 | 892 |
| 20.04 | 707 |
| 25.02 | 526 |
| 27.98 | 1000 |
| 36.71 | 448 |
| 46.57 | 519 |

Structure:
```
data_Na2BiPbCl8
_space_group_name_H-M_alt 'P 1 2/m 1'
_space_group_IT_number 10
_cell_length_a 6.465
_cell_length_b 8.538
_cell_length_c 6.597
_cell_angle_alpha 90.00
_cell_angle_beta 94.53
_cell_angle_gamma 90.00
loop_
_space_group_symop_operation_xyz
'x,y,z'
'-x,-y,-z'
'-x,y,-z'
'x,-y,z'
loop_
_atom_site_label
_atom_site_type_symbol
_atom_site_fract_x
_atom_site_fract_y
_atom_site_fract_z
Na1 Na 0.000 0.244 0.000
Bi1 Bi 0.500 0.000 0.500
Pb1 Pb 0.500 0.500 0.500
Cl1 Cl 0.208 0.500 0.184
Cl2 Cl 0.223 0.000 0.176
Cl3 Cl 0.292 0.247 0.670
```

---

# HgGeSb2H
Calculated powder diffraction line list, λ = 1.5418 Å (Cu Kα). Input: a GGA-PBE-relaxed structure.
Lines closer than 0.1° are merged.

Principal peaks in the range 10° ≤ 2θ ≤ 90°, sorted by position:
| 2θ/deg | intensity |
| --- | --- |
| 15.41 | 275 |
| 30.98 | 562 |
| 31.11 | 1000 |
| 34.78 | 749 |
| 44.52 | 794 |
| 57.74 | 368 |
| 64.83 | 260 |
| 73.66 | 263 |

Structure:
```
data_HgGeSb2H
_space_group_name_H-M_alt 'P 4/m m m'
_space_group_IT_number 123
_space_group_name_Hall '-P 4 2'
_cell_length_a 5.750
_cell_length_b 5.750
_cell_length_c 3.338
_cell_angle_alpha 90.00
_cell_angle_beta 90.00
_cell_angle_gamma 90.00
loop_
_atom_site_label
_atom_site_type_symbol
_atom_site_fract_x
_atom_site_fract_y
_atom_site_fract_z
Hg1 Hg 0.000 0.000 0.000
Ge1 Ge 0.500 0.500 0.500
Sb1 Sb 0.000 0.500 0.500
H1 H 0.500 0.500 0.000
```

---

# Na3Ce3ZnS8
Calculated powder diffraction line list, λ = 1.5418 Å (Cu Kα). Input: a GGA-PBE-relaxed structure.
Lines closer than 0.1° are merged.

Principal peaks in the range 10° ≤ 2θ ≤ 90°, sorted by position:
| 2θ/deg | intensity |
| --- | --- |
| 13.30 | 840 |
| 26.07 | 377 |
| 27.21 | 182 |
| 31.40 | 1000 |
| 40.95 | 196 |
| 44.71 | 337 |
| 45.28 | 351 |
| 47.40 | 207 |

Structure:
```
data_Na3Ce3ZnS8
_space_group_name_H-M_alt 'C 1 2/m 1'
_space_group_IT_number 12
_cell_length_a 13.871
_cell_length_b 8.014
_cell_length_c 8.109
_cell_angle_alpha 90.00
_cell_angle_beta 124.80
_cell_angle_gamma 90.00
loop_
_space_group_symop_operation_xyz
'x,y,z'
'-x,-y,-z'
'-x,y,-z'
'x,-y,z'
'x+1/2,y+1/2,z'
'-x+1/2,-y+1/2,-z'
'-x+1/2,y+1/2,-z'
'x+1/2,-y+1/2,z'
loop_
_atom_site_label
_atom_site_type_symbol
_atom_site_fract_x
_atom_site_fract_y
_atom_site_fract_z
Na1 Na 0.000 0.000 0.000
Na2 Na 0.250 0.250 0.000
Ce1 Ce 0.000 0.500 0.500
Ce2 Ce 0.250 0.250 0.500
Zn1 Zn 0.000 0.000 0.500
S1 S 0.009 0.242 0.284
S2 S 0.232 0.000 0.715
S3 S 0.245 0.500 0.734
```

---

# Er4BiSb
Calculated powder diffraction line list, λ = 1.5418 Å (Cu Kα). Input: a GGA-PBE-relaxed structure.
Lines closer than 0.1° are merged.

Principal peaks in the range 10° ≤ 2θ ≤ 90°, sorted by position:
| 2θ/deg | intensity |
| --- | --- |
| 16.67 | 314 |
| 29.42 | 301 |
| 32.64 | 544 |
| 32.80 | 293 |
| 33.24 | 1000 |
| 35.03 | 584 |
| 38.89 | 339 |
| 68.84 | 259 |

Structure:
```
data_Er4BiSb
_space_group_name_H-M_alt 'C m c m'
_space_group_IT_number 63
_space_group_name_Hall '-C 2c 2'
_cell_length_a 5.487
_cell_length_b 21.657
_cell_length_c 6.325
_cell_angle_alpha 90.00
_cell_angle_beta 90.00
_cell_angle_gamma 90.00
loop_
_atom_site_label
_atom_site_type_symbol
_atom_site_fract_x
_atom_site_fract_y
_atom_site_fract_z
Er1 Er 0.000 0.071 0.250
Er2 Er 0.000 0.212 0.003
Er3 Er 0.000 0.361 0.250
Bi1 Bi 0.000 0.071 0.750
Sb1 Sb 0.000 0.346 0.750
```